1.
Theoretical powder X-ray diffraction pattern
Compound: LaNdHoEr3
Radiation: Cu Ka
Structure: a structure optimized by DFT (PBE)

Largest 10 diffraction maxima, in order of rising 2θ, 2θ = 5–70°:
25.0°, rel. 27.2
30.1°, rel. 36.4
30.3°, rel. 93.7
30.5°, rel. 73.7
30.9°, rel. 26.5
31.8°, rel. 100.0
32.7°, rel. 55.7
32.8°, rel. 79.3
35.6°, rel. 47.6
55.8°, rel. 32.8

Structural model:
```
LaNdHoEr3
1.0
9.862 -2.814 0.000
9.862 2.814 0.000
-0.055 0.000 7.116
La Nd Ho Er
2 2 2 6
Direct
0.146 0.146 0.035
0.854 0.854 0.965
0.448 0.448 0.731
0.552 0.552 0.269
0.151 0.151 0.460
0.849 0.849 0.540
0.024 0.024 0.735
0.279 0.279 0.757
0.335 0.335 0.269
0.665 0.665 0.731
0.721 0.721 0.243
0.976 0.976 0.265
```

=====

2.
Theoretical powder X-ray diffraction pattern
Compound: SmHoTh2P4
Radiation: Cu Ka
Structure: a structure optimized by DFT (PBE)

Largest 10 diffraction maxima, in order of rising 2θ, 2θ = 5–70°:
26.6°, rel. 73.9
26.8°, rel. 24.2
30.9°, rel. 100.0
44.1°, rel. 37.5
44.3°, rel. 36.9
52.2°, rel. 12.4
52.4°, rel. 24.7
52.6°, rel. 12.2
54.8°, rel. 19.9
64.3°, rel. 12.3

Structural model:
```
SmHoTh2P4
1.0
7.066 0.000 0.000
0.000 4.107 0.000
-2.395 0.000 6.700
Sm Ho Th P
1 1 2 4
Direct
0.000 0.000 0.000
0.000 0.500 0.500
0.500 0.000 0.500
0.500 0.500 0.000
0.245 0.000 0.745
0.247 0.500 0.252
0.753 0.500 0.748
0.755 0.000 0.255
```

=====

What did the second record say?
Theoretical powder X-ray diffraction pattern
Compound: SmHoTh2P4
Radiation: Cu Ka
Structure: a structure optimized by DFT (PBE)

Largest 10 diffraction maxima, in order of rising 2θ, 2θ = 5–70°:
26.6°, rel. 73.9
26.8°, rel. 24.2
30.9°, rel. 100.0
44.1°, rel. 37.5
44.3°, rel. 36.9
52.2°, rel. 12.4
52.4°, rel. 24.7
52.6°, rel. 12.2
54.8°, rel. 19.9
64.3°, rel. 12.3

Structural model:
```
SmHoTh2P4
1.0
7.066 0.000 0.000
0.000 4.107 0.000
-2.395 0.000 6.700
Sm Ho Th P
1 1 2 4
Direct
0.000 0.000 0.000
0.000 0.500 0.500
0.500 0.000 0.500
0.500 0.500 0.000
0.245 0.000 0.745
0.247 0.500 0.252
0.753 0.500 0.748
0.755 0.000 0.255
```